No. 1
# TbSm2ScO6
Calculated X-ray powder pattern, copper Kα. Input: DFT lattice parameters and positions (PBE).

Main lines, by angle (15° ≤ 2θ ≤ 90°):
2θ/deg, d [Å], I_rel
18.61, 4.769, 17
21.28, 4.175, 20
29.76, 3.002, 100
30.78, 2.905, 92
43.34, 2.088, 43
48.08, 1.892, 24
52.17, 1.753, 16
54.10, 1.695, 42
54.73, 1.677, 27
72.26, 1.307, 15

Crystal structure
```
TbSm2ScO6
1.0
2.905 1.677 4.988
-2.905 1.677 4.988
0.000 -3.354 4.988
Tb Sm Sc O
1 2 1 6
direct
0.000 0.000 0.000
0.276 0.276 0.276
0.778 0.778 0.778
0.495 0.495 0.495
0.126 0.690 0.376
0.212 0.614 0.854
0.376 0.126 0.690
0.614 0.854 0.212
0.690 0.376 0.126
0.854 0.212 0.614
```


No. 2
# BaSrNCl
Calculated X-ray powder pattern, copper Kα. Input: DFT lattice parameters and positions (PBE).

Main lines, by angle (15° ≤ 2θ ≤ 90°):
2θ/deg, d [Å], I_rel
23.98, 3.710, 14
26.81, 3.326, 60
30.26, 2.954, 100
32.63, 2.744, 33
36.32, 2.474, 16
38.32, 2.349, 19
41.53, 2.175, 19
45.06, 2.012, 39
55.24, 1.663, 17
59.19, 1.561, 23

Crystal structure
```
BaSrNCl
1.0
2.012 1.162 7.421
-2.012 1.162 7.421
0.000 -2.323 7.421
Ba Sr N Cl
1 1 1 1
direct
0.000 0.000 0.000
0.539 0.539 0.539
0.267 0.267 0.267
0.779 0.779 0.779
```


No. 3
# La5TbY3
Calculated X-ray powder pattern, copper Kα. Input: DFT lattice parameters and positions (PBE).

Main lines, by angle (15° ≤ 2θ ≤ 90°):
2θ/deg, d [Å], I_rel
16.90, 5.246, 33
27.25, 3.273, 24
27.26, 3.272, 26
29.17, 3.061, 54
30.85, 2.898, 87
31.01, 2.884, 100
31.28, 2.860, 89
31.64, 2.828, 65
33.20, 2.698, 41
34.36, 2.610, 24

Crystal structure
```
La5TbY3
1.0
9.538 -3.272 0.000
9.538 3.272 0.000
-4.869 0.000 10.493
La Tb Y
10 2 6
direct
0.040 0.623 0.290
0.091 0.909 0.750
0.144 0.514 0.638
0.377 0.960 0.210
0.486 0.856 0.862
0.514 0.144 0.138
0.623 0.040 0.790
0.856 0.486 0.362
0.909 0.091 0.250
0.960 0.377 0.710
0.374 0.626 0.250
0.626 0.374 0.750
0.054 0.628 0.985
0.372 0.946 0.515
0.500 0.500 0.000
0.500 0.500 0.500
0.628 0.054 0.485
0.946 0.372 0.015
```


No. 4
# Dy4Tm10Zr
Calculated X-ray powder pattern, copper Kα. Input: DFT lattice parameters and positions (PBE).

Main lines, by angle (15° ≤ 2θ ≤ 90°):
2θ/deg, d [Å], I_rel
25.48, 3.495, 32
28.39, 3.144, 65
31.44, 2.845, 40
32.40, 2.763, 100
32.77, 2.733, 95
34.42, 2.605, 27
34.78, 2.580, 38
41.97, 2.153, 50
54.99, 1.670, 24
69.25, 1.357, 31

Crystal structure
```
Dy4Tm10Zr
1.0
-5.527 5.527 3.823
5.527 -5.527 3.823
5.527 5.527 -3.823
Dy Tm Zr
4 10 1
direct
0.228 0.228 0.456
0.228 0.772 0.000
0.772 0.228 0.000
0.772 0.772 0.544
0.081 0.288 0.793
0.250 0.750 0.500
0.288 0.081 0.793
0.288 0.496 0.207
0.496 0.288 0.207
0.504 0.712 0.793
0.712 0.504 0.793
0.712 0.919 0.207
0.750 0.250 0.500
0.919 0.712 0.207
0.000 0.000 0.000
```


No. 5
# Sr2CuF5
Calculated X-ray powder pattern, copper Kα. Input: DFT lattice parameters and positions (PBE).

Main lines, by angle (15° ≤ 2θ ≤ 90°):
2θ/deg, d [Å], I_rel
21.24, 4.183, 83
25.44, 3.501, 52
27.10, 3.290, 100
27.81, 3.208, 46
28.31, 3.152, 68
32.07, 2.791, 92
34.12, 2.628, 41
37.46, 2.401, 48
44.36, 2.042, 39
47.85, 1.901, 42

Crystal structure
```
Sr2CuF5
1.0
4.264 0.000 0.000
-0.459 5.592 0.000
-0.844 -2.454 5.855
Sr Cu F
2 1 5
direct
0.000 0.000 0.000
0.369 0.728 0.423
0.149 0.368 0.723
0.060 0.465 0.022
0.215 0.274 0.420
0.469 0.059 0.807
0.554 0.887 0.160
0.892 0.719 0.588
```


No. 6
# Pm2Nd7Ho4
Calculated X-ray powder pattern, copper Kα. Input: DFT lattice parameters and positions (PBE).

Main lines, by angle (15° ≤ 2θ ≤ 90°):
2θ/deg, d [Å], I_rel
30.16, 2.963, 100
34.94, 2.568, 34
35.01, 2.563, 17
50.26, 1.815, 30
59.70, 1.549, 22
59.80, 1.547, 14
59.88, 1.545, 7
81.71, 1.178, 7
81.82, 1.177, 7
84.31, 1.149, 7

Crystal structure
```
Pm2Nd7Ho4
1.0
6.279 0.000 0.000
1.022 8.047 0.000
1.016 3.956 8.694
Pm Nd Ho
2 7 4
direct
0.155 0.192 0.384
0.845 0.808 0.616
0.000 0.500 0.000
0.075 0.346 0.694
0.232 0.039 0.077
0.387 0.732 0.462
0.613 0.268 0.538
0.768 0.961 0.923
0.925 0.654 0.306
0.307 0.882 0.771
0.462 0.575 0.152
0.538 0.425 0.848
0.693 0.118 0.229
```